Ca7OsN6: computed powder diffractogram (Cu Kα, 1.54184 Å), based on a cell relaxed with PBE.
Peak positions follow from Bragg's law for the DFT cell and can differ from measured ones.

The 10 most intense peaks (2θ = 10–90°), low angle first:
d [Å], Rel. int.
6.680, 31
5.523, 30
5.481, 53
5.071, 26
4.245, 100
2.857, 99
2.762, 30
2.535, 34
2.334, 19
2.303, 20

Cell and atoms:
a b c (Å): 11.0463 6.3127 13.3605
angles (deg): 90.00 90.00 90.00
Sites, in units of the cell vectors:
Ca1 0.0000 0.0639 0.2500
Ca2 0.0000 0.9361 0.7500
Ca3 0.0359 0.2259 0.5184
Ca4 0.0359 0.7741 0.0184
Ca5 0.2102 0.4004 0.1116
Ca6 0.2102 0.5996 0.6116
Ca7 0.2227 0.3678 0.8707
Ca8 0.2227 0.6322 0.3707
Ca9 0.2773 0.1322 0.3707
Ca10 0.2773 0.8678 0.8707
Ca11 0.2898 0.0996 0.6116
Ca12 0.2898 0.9004 0.1116
Ca13 0.4641 0.2741 0.0184
Ca14 0.4641 0.7259 0.5184
Ca15 0.5000 0.4361 0.7500
Ca16 0.5000 0.5639 0.2500
Ca17 0.5359 0.2741 0.4816
Ca18 0.5359 0.7259 0.9816
Ca19 0.7102 0.0996 0.8884
Ca20 0.7102 0.9004 0.3884
Ca21 0.7227 0.1322 0.1293
Ca22 0.7227 0.8678 0.6293
Ca23 0.7773 0.3678 0.6293
Ca24 0.7773 0.6322 0.1293
Ca25 0.7898 0.4004 0.3884
Ca26 0.7898 0.5996 0.8884
Ca27 0.9641 0.2259 0.9816
Ca28 0.9641 0.7741 0.4816
Os1 0.0000 0.4262 0.7500
Os2 0.0000 0.5738 0.2500
Os3 0.5000 0.0738 0.2500
Os4 0.5000 0.9262 0.7500
N1 0.0310 0.3954 0.3633
N2 0.0310 0.6046 0.8633
N3 0.1290 0.2423 0.7010
N4 0.1290 0.7577 0.2010
N5 0.1678 0.0950 0.9872
N6 0.1678 0.9050 0.4872
N7 0.3322 0.4050 0.4872
N8 0.3322 0.5950 0.9872
N9 0.3710 0.2577 0.2010
N10 0.3710 0.7423 0.7010
N11 0.4690 0.1046 0.8633
N12 0.4690 0.8954 0.3633
N13 0.5310 0.1046 0.6367
N14 0.5310 0.8954 0.1367
N15 0.6290 0.2577 0.2990
N16 0.6290 0.7423 0.7990
N17 0.6678 0.4050 0.0128
N18 0.6678 0.5950 0.5128
N19 0.8322 0.0950 0.5128
N20 0.8322 0.9050 0.0128
N21 0.8710 0.2423 0.7990
N22 0.8710 0.7577 0.2990
N23 0.9690 0.3954 0.1367
N24 0.9690 0.6046 0.6367



Ca3Os2N4: computed powder diffractogram (Cu Kα, 1.54184 Å), based on a cell relaxed with PBE.
Peak positions follow from Bragg's law for the DFT cell and can differ from measured ones.

The 10 most intense peaks (2θ = 10–90°), low angle first:
d [Å], Rel. int.
5.533, 100
4.217, 35
4.168, 29
2.884, 44
2.864, 55
2.495, 17
2.482, 43
2.188, 22
2.146, 17
2.109, 36

Cell and atoms:
a b c (Å): 7.0550 7.0550 5.2957
angles (deg): 90.87 90.87 76.67
Sites, in units of the cell vectors:
Ca1 0.0969 0.9031 0.7500
Ca2 0.2369 0.5367 0.4570
Ca3 0.4633 0.7631 0.0430
Ca4 0.5367 0.2369 0.9570
Ca5 0.7631 0.4633 0.5430
Ca6 0.9031 0.0969 0.2500
Os1 0.1157 0.3361 0.9172
Os2 0.3361 0.1157 0.4172
Os3 0.6639 0.8843 0.5828
Os4 0.8843 0.6639 0.0828
N1 0.0796 0.2331 0.5762
N2 0.2107 0.5740 0.9717
N3 0.2331 0.0796 0.0762
N4 0.4260 0.7893 0.5283
N5 0.5740 0.2107 0.4717
N6 0.7669 0.9204 0.9238
N7 0.7893 0.4260 0.0283
N8 0.9204 0.7669 0.4238



Ca3Os2N4: computed powder diffractogram (Cu Kα, 1.54184 Å), based on a cell relaxed with PBE.
Peak positions follow from Bragg's law for the DFT cell and can differ from measured ones.

The 10 most intense peaks (2θ = 10–90°), low angle first:
d [Å], Rel. int.
4.964, 100
4.327, 43
3.030, 17
2.605, 45
2.482, 16
2.257, 37
2.187, 18
1.944, 15
1.817, 19
1.773, 15

Cell and atoms:
a b c (Å): 6.0609 10.1387 8.6542
angles (deg): 90.00 90.00 90.00
Sites, in units of the cell vectors:
Ca1 0.1264 0.1533 0.0775
Ca2 0.1264 0.3467 0.4225
Ca3 0.2500 0.0000 0.4023
Ca4 0.2500 0.5000 0.0977
Ca5 0.3736 0.6533 0.4225
Ca6 0.3736 0.8467 0.0775
Ca7 0.6264 0.1533 0.9225
Ca8 0.6264 0.3467 0.5775
Ca9 0.7500 0.0000 0.5977
Ca10 0.7500 0.5000 0.9023
Ca11 0.8736 0.6533 0.5775
Ca12 0.8736 0.8467 0.9225
Os1 0.1966 0.2500 0.7500
Os2 0.2500 0.0000 0.7478
Os3 0.2500 0.5000 0.7522
Os4 0.3034 0.7500 0.7500
Os5 0.6966 0.2500 0.2500
Os6 0.7500 0.0000 0.2522
Os7 0.7500 0.5000 0.2478
Os8 0.8034 0.7500 0.2500
N1 0.0270 0.6005 0.3155
N2 0.0270 0.8995 0.1845
N3 0.0643 0.6425 0.8497
N4 0.0643 0.8575 0.6503
N5 0.4357 0.1425 0.6503
N6 0.4357 0.3575 0.8497
N7 0.4730 0.1005 0.1845
N8 0.4730 0.3995 0.3155
N9 0.5270 0.6005 0.6845
N10 0.5270 0.8995 0.8155
N11 0.5643 0.6425 0.1503
N12 0.5643 0.8575 0.3497
N13 0.9357 0.1425 0.3497
N14 0.9357 0.3575 0.1503
N15 0.9730 0.1005 0.8155
N16 0.9730 0.3995 0.6845